No. 1
# PmPr5Er
Simulated PXRD pattern, λ = 1.5418 Å (Cu Kα). Input: DFT lattice parameters and positions (GGA-PBE).

Structural model:
Cell: 13.594 8.853 5.961 Å, 90.00 115.92 90.00°
Space group C2/m (No. 12)
Inequivalent atoms, fractional coordinates:
Pm1 0.000 0.000 0.000 x2
Pr1 0.000 0.000 0.500 x2
Pr2 0.000 0.324 0.000 x4
Pr3 0.249 0.000 0.249 x4
Er1 0.000 0.500 0.500 x2

The 6 most intense peaks (10 to 90 degrees two-theta), low angle first:
d = 6.113 Å, I 100; d = 4.426 Å, I 75; d = 3.057 Å, I 96; d = 2.980 Å, I 90; d = 2.645 Å, I 67; d = 2.134 Å, I 70

No. 2
# VTcSN2
Simulated PXRD pattern, λ = 1.5418 Å (Cu Kα). Input: DFT lattice parameters and positions (GGA-PBE).

Structural model:
Cell: 3.728 3.728 4.929 Å, 90.00 90.00 90.00°
Space group P4/mmm (No. 123)
Inequivalent atoms, fractional coordinates:
V1 0.000 0.000 0.000 x1
Tc1 0.500 0.500 0.500 x1
S1 0.000 0.000 0.500 x1
N1 0.000 0.500 0.000 x2

The 6 most intense peaks (10 to 90 degrees two-theta), low angle first:
d = 2.973 Å, I 100; d = 2.636 Å, I 63; d = 2.464 Å, I 47; d = 2.325 Å, I 43; d = 1.864 Å, I 38; d = 1.800 Å, I 40

No. 3
# BaNaSr2Ca
Simulated PXRD pattern, λ = 1.5418 Å (Cu Kα). Input: DFT lattice parameters and positions (GGA-PBE).

Structural model:
Cell: 9.918 4.085 13.657 Å, 90.00 110.38 90.00°
Space group P2_1/m (No. 11)
Inequivalent atoms, fractional coordinates:
Ba1 0.030 0.250 0.254 x2
Na1 0.197 0.750 0.054 x2
Sr1 0.422 0.750 0.855 x2
Sr2 0.436 0.750 0.360 x2
Ca1 0.185 0.750 0.542 x2

The 6 most intense peaks (10 to 90 degrees two-theta), low angle first:
d = 6.410 Å, I 53; d = 4.649 Å, I 34; d = 3.736 Å, I 33; d = 3.414 Å, I 68; d = 3.266 Å, I 100; d = 3.051 Å, I 83

No. 4
# ZnNi3Os
Simulated PXRD pattern, λ = 1.5418 Å (Cu Kα). Input: DFT lattice parameters and positions (GGA-PBE).

Structural model:
Cell: 4.210 4.210 4.210 Å, 90.00 90.00 90.00°
Space group Pm-3m (No. 221)
Inequivalent atoms, fractional coordinates:
Zn1 0.000 0.000 0.000 x1
Ni1 0.000 0.000 0.500 x3
Os1 0.500 0.500 0.500 x1

The 6 most intense peaks (10 to 90 degrees two-theta), low angle first:
d = 2.977 Å, I 95; d = 2.430 Å, I 96; d = 2.105 Å, I 100; d = 1.719 Å, I 39; d = 1.488 Å, I 64; d = 1.269 Å, I 35

No. 5
# TiP2O8
Simulated PXRD pattern, λ = 1.5418 Å (Cu Kα). Input: DFT lattice parameters and positions (GGA-PBE).

Structural model:
Cell: 5.268 6.391 10.287 Å, 90.00 93.35 90.00°
Space group P2_1/m (No. 11)
Inequivalent atoms, fractional coordinates:
Ti1 0.241 0.250 0.350 x2
P1 0.234 0.750 0.435 x2
P2 0.294 0.750 0.873 x2
O1 0.004 0.250 0.485 x2
O2 0.054 0.750 0.783 x2
O3 0.235 0.555 0.347 x4
O4 0.285 0.565 0.971 x4
O5 0.467 0.250 0.204 x2
O6 0.473 0.750 0.529 x2

The 6 most intense peaks (10 to 90 degrees two-theta), low angle first:
d = 5.426 Å, I 100; d = 4.573 Å, I 26; d = 3.786 Å, I 70; d = 3.571 Å, I 49; d = 3.196 Å, I 33; d = 3.051 Å, I 16

No. 6
# CaLa7Er4
Simulated PXRD pattern, λ = 1.5418 Å (Cu Kα). Input: DFT lattice parameters and positions (GGA-PBE).

Structural model:
Cell: 6.373 7.345 9.734 Å, 78.77 71.09 89.98°
Space group P-1 (No. 2)
Inequivalent atoms, fractional coordinates:
Ca1 0.000 0.000 0.000 x1
La1 0.000 0.500 0.000 x1
La2 0.167 0.915 0.342 x2
La3 0.344 0.339 0.661 x2
La4 0.498 0.738 0.000 x2
Er1 0.163 0.415 0.335 x2
Er2 0.343 0.830 0.662 x2

The 6 most intense peaks (10 to 90 degrees two-theta), low angle first:
d = 3.004 Å, I 100; d = 2.997 Å, I 33; d = 2.605 Å, I 45; d = 2.590 Å, I 23; d = 1.836 Å, I 24; d = 1.571 Å, I 19

No. 7
# Zr4P3
Simulated PXRD pattern, λ = 1.5418 Å (Cu Kα). Input: DFT lattice parameters and positions (GGA-PBE).

Structural model:
Cell: 3.589 3.589 20.551 Å, 90.00 90.00 90.00°
Space group I4/mmm (No. 139)
Inequivalent atoms, fractional coordinates:
Zr1 0.000 0.000 0.068 x4
Zr2 0.000 0.000 0.334 x4
P1 0.000 0.000 0.197 x4
P2 0.000 0.000 0.500 x2

The 6 most intense peaks (10 to 90 degrees two-theta), low angle first:
d = 3.179 Å, I 41; d = 2.703 Å, I 30; d = 2.538 Å, I 100; d = 2.273 Å, I 88; d = 1.794 Å, I 34; d = 1.408 Å, I 35

No. 8
# P3PbS9
Simulated PXRD pattern, λ = 1.5418 Å (Cu Kα). Input: DFT lattice parameters and positions (GGA-PBE).

Structural model:
Cell: 11.703 13.529 9.070 Å, 90.00 90.00 90.00°
Space group C222_1 (No. 20)
Inequivalent atoms, fractional coordinates:
P1 0.018 0.170 0.427 x8
P2 0.249 0.500 0.000 x4
Pb1 0.246 0.500 0.500 x4
S1 0.000 0.065 0.250 x4
S2 0.083 0.299 0.353 x8
S3 0.130 0.179 0.963 x8
S4 0.140 0.114 0.581 x8
S5 0.162 0.470 0.818 x8

The 6 most intense peaks (10 to 90 degrees two-theta), low angle first:
d = 6.764 Å, I 54; d = 6.335 Å, I 97; d = 4.535 Å, I 44; d = 4.426 Å, I 100; d = 3.167 Å, I 71; d = 2.458 Å, I 57

No. 9
# Tb3Cu2Pt6
Simulated PXRD pattern, λ = 1.5418 Å (Cu Kα). Input: DFT lattice parameters and positions (GGA-PBE).

Structural model:
Cell: 9.487 9.487 9.487 Å, 90.00 90.00 90.00°
Space group Im-3m (No. 229)
Inequivalent atoms, fractional coordinates:
Tb1 0.000 0.000 0.301 x12
Cu1 0.250 0.250 0.250 x8
Pt1 0.000 0.332 0.332 x24

The 6 most intense peaks (10 to 90 degrees two-theta), low angle first:
d = 6.708 Å, I 30; d = 2.535 Å, I 25; d = 2.236 Å, I 100; d = 1.581 Å, I 13; d = 1.539 Å, I 13; d = 1.291 Å, I 31

No. 10
# Sm6In3Rh
Simulated PXRD pattern, λ = 1.5418 Å (Cu Kα). Input: DFT lattice parameters and positions (GGA-PBE).

Structural model:
Cell: 9.228 11.762 5.324 Å, 90.00 90.00 90.00°
Space group Pnnm (No. 58)
Inequivalent atoms, fractional coordinates:
Sm1 0.010 0.236 0.000 x4
Sm2 0.158 0.082 0.500 x4
Sm3 0.186 0.416 0.500 x4
In1 0.000 0.500 0.000 x2
In2 0.156 0.730 0.500 x4
Rh1 0.000 0.000 0.000 x2

The 6 most intense peaks (10 to 90 degrees two-theta), low angle first:
d = 2.987 Å, I 76; d = 2.663 Å, I 100; d = 2.480 Å, I 28; d = 1.988 Å, I 23; d = 1.593 Å, I 22; d = 1.537 Å, I 17